Starting from a DFT-relaxed cell (GGA-PBE, OQMD), the powder diffractogram of GdHoZr2C3 was computed for Cu Kα X-rays.
Intensities are scaled so that the largest is 100.

Structure:
```
GdHoZr2C3
1.0
6.2374 -1.7783 0.0000
6.2374 1.7783 0.0000
-2.2925 0.0000 5.4314
Gd Ho Zr C
1 1 2 3
Cartesian
0.0000 0.0000 0.0000
1.6574 0.0000 3.2064
4.9151 0.0000 2.4946
9.1918 0.0000 0.7025
4.2694 0.0000 0.2948
7.0631 0.0000 1.6321
9.8260 0.0000 2.8926
```

Principal peaks in the range 10 to 80 degrees two-theta, by angle:
- 29.36 deg, I 20.3
- 30.45 deg, I 26.1
- 31.13 deg, I 58.8
- 32.66 deg, I 100.0
- 32.98 deg, I 32.9
- 33.99 deg, I 93.9
- 35.58 deg, I 29.7
- 51.38 deg, I 19.4
- 53.44 deg, I 30.6
- 55.48 deg, I 21.3

---

Starting from a DFT-relaxed cell (GGA-PBE, OQMD), the powder diffractogram of La2Gd2CI5 was computed for Cu Kα X-rays.
Intensities are scaled so that the largest is 100.

Structure:
```
La2Gd2CI5
1.0
9.7595 -2.0517 0.0000
9.7595 2.0517 0.0000
-1.9410 0.0000 8.7476
La Gd C I
2 2 1 5
Cartesian
-0.5621 0.0000 2.6503
18.1400 0.0000 6.0973
6.3954 0.0000 3.8106
11.1825 0.0000 4.9370
8.7890 0.0000 4.3738
1.6556 0.0000 7.2635
2.7101 0.0000 2.9410
9.7595 0.0000 0.0000
14.8679 0.0000 5.8066
15.9223 0.0000 1.4842
```

Principal peaks in the range 10 to 80 degrees two-theta, by angle:
- 10.11 deg, I 31.3
- 28.10 deg, I 38.1
- 28.94 deg, I 17.7
- 29.52 deg, I 100.0
- 32.05 deg, I 36.4
- 40.26 deg, I 16.3
- 41.02 deg, I 24.5
- 41.40 deg, I 24.3
- 44.14 deg, I 18.1
- 53.15 deg, I 12.6

---

Starting from a DFT-relaxed cell (GGA-PBE, OQMD), the powder diffractogram of PrGdCI was computed for Cu Kα X-rays.
Intensities are scaled so that the largest is 100.

Structure:
```
PrGdCI
1.0
3.8504 0.0000 0.0000
-1.9252 3.3346 0.0000
0.0000 0.0000 15.3646
Pr Gd C I
2 2 2 2
Cartesian
0.0000 2.2230 6.2974
1.9252 1.1115 9.0672
0.0000 2.2230 1.2817
1.9252 1.1115 14.0829
0.0000 0.0000 0.0000
0.0000 0.0000 7.6823
0.0000 2.2230 11.6867
1.9252 1.1115 3.6779
```

Principal peaks in the range 10 to 80 degrees two-theta, by angle:
- 26.73 deg, I 24.1
- 32.03 deg, I 100.0
- 35.04 deg, I 15.7
- 44.62 deg, I 13.8
- 47.21 deg, I 23.9
- 58.19 deg, I 18.1
- 60.13 deg, I 19.9
- 60.97 deg, I 13.6
- 67.00 deg, I 5.4
- 78.09 deg, I 15.3

---

Starting from a DFT-relaxed cell (GGA-PBE, OQMD), the powder diffractogram of Sm2Gd2CI5 was computed for Cu Kα X-rays.
Intensities are scaled so that the largest is 100.

Structure:
```
Sm2Gd2CI5
1.0
9.6105 -2.0051 0.0000
9.6105 2.0051 0.0000
-1.9255 0.0000 8.5011
Sm Gd C I
2 2 1 5
Cartesian
2.4084 0.0000 0.5664
14.8870 0.0000 7.9347
9.2283 0.0000 1.6152
8.0671 0.0000 6.8859
0.0000 0.0000 0.0000
-0.9628 0.0000 4.2505
6.0406 0.0000 1.5473
5.2290 0.0000 5.5630
12.0664 0.0000 2.9381
11.2548 0.0000 6.9538
```

Principal peaks in the range 10 to 80 degrees two-theta, by angle:
- 10.41 deg, I 24.6
- 27.24 deg, I 17.7
- 28.57 deg, I 45.6
- 29.62 deg, I 23.2
- 30.29 deg, I 100.0
- 32.70 deg, I 34.1
- 35.05 deg, I 15.8
- 42.03 deg, I 26.5
- 42.21 deg, I 26.4
- 45.22 deg, I 19.1

---

Starting from a DFT-relaxed cell (GGA-PBE, OQMD), the powder diffractogram of TbGdC2I2 was computed for Cu Kα X-rays.
Intensities are scaled so that the largest is 100.

Structure:
```
TbGdC2I2
1.0
3.6800 -1.9716 0.0000
3.6800 1.9716 0.0000
-0.6420 0.0000 11.3086
Tb Gd C I
1 1 2 2
Cartesian
0.0000 0.0000 0.0000
4.7281 0.0000 8.5311
1.4536 0.0000 10.2330
2.6269 0.0000 9.6165
-0.1429 0.0000 6.4239
4.8675 0.0000 2.1067
```

Principal peaks in the range 10 to 80 degrees two-theta, by angle:
- 15.67 deg, I 23.5
- 25.64 deg, I 49.6
- 28.21 deg, I 75.2
- 29.79 deg, I 60.9
- 30.56 deg, I 100.0
- 35.61 deg, I 29.2
- 40.60 deg, I 29.2
- 43.49 deg, I 43.9
- 46.03 deg, I 21.8
- 54.87 deg, I 23.2

---

Starting from a DFT-relaxed cell (GGA-PBE, OQMD), the powder diffractogram of Gd4TeC2I was computed for Cu Kα X-rays.
Intensities are scaled so that the largest is 100.

Structure:
```
Gd4TeC2I
1.0
3.8472 0.0000 0.0000
-1.9236 3.3318 0.0000
0.0000 0.0000 14.5657
Gd Te C I
4 1 2 1
Cartesian
0.0000 0.0000 2.1961
0.0000 0.0000 12.3696
1.9236 1.1106 4.8196
1.9236 1.1106 9.7461
1.9236 1.1106 0.0000
0.0000 2.2212 3.6329
0.0000 2.2212 10.9328
0.0000 0.0000 7.2828
```

Principal peaks in the range 10 to 80 degrees two-theta, by angle:
- 26.76 deg, I 25.7
- 32.59 deg, I 100.0
- 37.03 deg, I 13.5
- 46.27 deg, I 12.6
- 47.25 deg, I 25.5
- 58.58 deg, I 18.6
- 61.51 deg, I 18.7
- 63.95 deg, I 11.2
- 68.28 deg, I 3.9
- 78.46 deg, I 15.9

---

Starting from a DFT-relaxed cell (GGA-PBE, OQMD), the powder diffractogram of GdIn3C3 was computed for Cu Kα X-rays.
Intensities are scaled so that the largest is 100.

Structure:
```
GdIn3C3
1.0
3.7528 0.0000 0.0000
-1.8764 3.2500 0.0000
0.0000 0.0000 19.1383
Gd In C
2 6 6
Cartesian
0.0000 0.0000 0.0000
0.0000 0.0000 9.5692
0.0000 2.1667 2.3837
0.0000 2.1667 7.1855
0.0000 2.1667 14.3537
1.8764 1.0833 4.7846
1.8764 1.0833 11.9528
1.8764 1.0833 16.7547
0.0000 2.1667 4.7846
0.0000 2.1667 11.0462
0.0000 2.1667 17.6613
1.8764 1.0833 1.4770
1.8764 1.0833 8.0921
1.8764 1.0833 14.3537
```

Principal peaks in the range 10 to 80 degrees two-theta, by angle:
- 29.02 deg, I 100.0
- 30.88 deg, I 89.5
- 33.33 deg, I 69.5
- 36.26 deg, I 74.3
- 37.60 deg, I 46.6
- 39.59 deg, I 51.2
- 48.52 deg, I 75.5
- 55.74 deg, I 16.1
- 60.34 deg, I 17.2
- 62.95 deg, I 60.1

---

Starting from a DFT-relaxed cell (GGA-PBE, OQMD), the powder diffractogram of KGdC2O6 was computed for Cu Kα X-rays.
Intensities are scaled so that the largest is 100.

Structure:
```
KGdC2O6
1.0
4.2365 -4.7775 0.0000
4.2365 4.7775 0.0000
-2.4114 0.0000 6.4305
K Gd C O
2 2 4 12
Cartesian
2.4280 3.6095 4.8228
3.6337 -3.6095 1.6076
3.6337 0.9246 1.6076
2.4280 -0.9246 4.8228
0.4734 1.1620 4.7513
1.6791 -1.1620 1.5361
4.3825 1.1620 4.8944
5.5882 -1.1620 1.6791
2.1181 2.6110 1.8295
0.4585 0.1524 3.9459
1.6643 -0.1524 0.7307
1.3631 1.1288 5.7198
5.1493 2.6110 1.3857
3.4929 1.1288 3.9258
2.5688 -1.1288 2.5046
0.9123 -2.6110 5.0448
4.6986 -1.1288 0.7106
4.3974 0.1524 5.6997
5.6031 -0.1524 2.4845
3.9436 -2.6110 4.6009
```

Principal peaks in the range 10 to 80 degrees two-theta, by angle:
- 14.51 deg, I 100.0
- 17.12 deg, I 18.9
- 22.41 deg, I 26.1
- 23.19 deg, I 40.6
- 27.65 deg, I 23.8
- 27.75 deg, I 48.5
- 28.79 deg, I 84.3
- 35.81 deg, I 27.8
- 44.61 deg, I 24.8
- 49.08 deg, I 19.3

---

Starting from a DFT-relaxed cell (GGA-PBE, OQMD), the powder diffractogram of La2GdTa2C6 was computed for Cu Kα X-rays.
Intensities are scaled so that the largest is 100.

Structure:
```
La2GdTa2C6
1.0
-2.0483 2.0483 10.6962
2.0483 -2.0483 10.6962
2.0483 2.0483 -10.6962
La Gd Ta C
2 1 2 6
Cartesian
0.0000 0.0000 3.9634
0.0000 0.0000 17.4291
0.0000 0.0000 0.0000
0.0000 0.0000 8.5949
0.0000 0.0000 12.7976
2.0483 0.0000 1.6291
0.0000 0.0000 6.5567
2.0483 0.0000 9.0671
0.0000 2.0483 1.6291
0.0000 0.0000 14.8357
0.0000 2.0483 9.0671
```

Principal peaks in the range 10 to 80 degrees two-theta, by angle:
- 30.20 deg, I 100.0
- 30.87 deg, I 51.1
- 42.25 deg, I 9.0
- 44.22 deg, I 23.3
- 53.23 deg, I 18.1
- 54.49 deg, I 39.0
- 62.81 deg, I 11.1
- 64.32 deg, I 7.5
- 72.69 deg, I 8.3
- 73.04 deg, I 8.8

---

Starting from a DFT-relaxed cell (GGA-PBE, OQMD), the powder diffractogram of PrGdSi2Mo2C was computed for Cu Kα X-rays.
Intensities are scaled so that the largest is 100.

Structure:
```
PrGdSi2Mo2C
1.0
5.6139 -1.9484 0.0000
5.6139 1.9484 0.0000
-4.2849 0.0000 5.9161
Pr Gd Si Mo C
1 1 2 2 1
Cartesian
0.0000 0.0000 0.0000
7.8059 0.0000 2.3856
3.1253 0.0000 0.1776
4.6577 0.0000 2.2010
-0.2097 0.0000 3.6514
3.7190 0.0000 4.6034
1.7627 0.0000 4.0919
```

Principal peaks in the range 10 to 80 degrees two-theta, by angle:
- 24.45 deg, I 21.8
- 24.86 deg, I 22.5
- 31.05 deg, I 44.1
- 32.06 deg, I 18.0
- 32.89 deg, I 24.9
- 33.26 deg, I 88.9
- 34.58 deg, I 100.0
- 37.59 deg, I 17.0
- 39.16 deg, I 29.6
- 46.62 deg, I 26.4

---

Starting from a DFT-relaxed cell (GGA-PBE, OQMD), the powder diffractogram of Gd2SiMo2C2 was computed for Cu Kα X-rays.
Intensities are scaled so that the largest is 100.

Structure:
```
Gd2SiMo2C2
1.0
6.9672 -1.6632 0.0000
6.9672 1.6632 0.0000
-2.3576 0.0000 5.3410
Gd Si Mo C
2 1 2 2
Cartesian
1.0993 0.0000 1.6264
10.4774 0.0000 3.7146
5.7884 0.0000 2.6705
4.1583 0.0000 0.8674
7.4185 0.0000 4.4736
1.6884 0.0000 4.0597
9.8884 0.0000 1.2813
```

Principal peaks in the range 10 to 80 degrees two-theta, by angle:
- 13.89 deg, I 25.7
- 25.73 deg, I 19.7
- 28.00 deg, I 28.8
- 30.94 deg, I 27.4
- 33.97 deg, I 100.0
- 34.17 deg, I 53.8
- 41.62 deg, I 23.9
- 42.39 deg, I 24.2
- 44.79 deg, I 18.2
- 54.65 deg, I 20.8

---

Starting from a DFT-relaxed cell (GGA-PBE, OQMD), the powder diffractogram of SmGdSi2Mo2C was computed for Cu Kα X-rays.
Intensities are scaled so that the largest is 100.

Structure:
```
SmGdSi2Mo2C
1.0
5.5944 -1.9320 0.0000
5.5944 1.9320 0.0000
-4.2284 0.0000 5.8690
Sm Gd Si Mo C
1 1 2 2 1
Cartesian
0.0000 0.0000 0.0000
7.7939 0.0000 2.3721
3.1192 0.0000 0.1948
4.6645 0.0000 2.1699
-0.1746 0.0000 3.6292
3.7348 0.0000 4.5947
1.7839 0.0000 4.0904
```

Principal peaks in the range 10 to 80 degrees two-theta, by angle:
- 24.69 deg, I 21.3
- 25.05 deg, I 23.6
- 31.17 deg, I 44.6
- 32.29 deg, I 17.5
- 32.94 deg, I 30.9
- 33.45 deg, I 89.0
- 34.91 deg, I 100.0
- 39.50 deg, I 29.7
- 47.03 deg, I 25.9
- 58.86 deg, I 15.8

---

Starting from a DFT-relaxed cell (GGA-PBE, OQMD), the powder diffractogram of GdYMo2C3 was computed for Cu Kα X-rays.
Intensities are scaled so that the largest is 100.

Structure:
```
GdYMo2C3
1.0
5.6727 -1.7049 0.0000
5.6727 1.7049 0.0000
-1.7134 0.0000 5.4666
Gd Y Mo C
1 1 2 3
Cartesian
0.0000 0.0000 0.0000
1.4638 0.0000 3.5169
4.4809 0.0000 2.4367
8.3224 0.0000 1.0874
3.7197 0.0000 0.4475
6.4041 0.0000 1.7693
9.0762 0.0000 3.0665
```

Principal peaks in the range 10 to 80 degrees two-theta, by angle:
- 31.96 deg, I 45.9
- 33.10 deg, I 40.0
- 33.30 deg, I 100.0
- 36.61 deg, I 84.0
- 41.21 deg, I 27.8
- 51.69 deg, I 11.7
- 53.77 deg, I 16.3
- 55.55 deg, I 16.7
- 57.02 deg, I 13.5
- 63.93 deg, I 12.6

---

Starting from a DFT-relaxed cell (GGA-PBE, OQMD), the powder diffractogram of Gd4C2N5 was computed for Cu Kα X-rays.
Intensities are scaled so that the largest is 100.

Structure:
```
Gd4C2N5
1.0
5.9559 -1.7372 0.0000
5.9559 1.7372 0.0000
-5.6829 0.0000 6.6162
Gd C N
4 2 5
Cartesian
-0.9846 0.0000 2.2171
-1.3220 0.0000 5.8733
7.5508 0.0000 0.7429
7.2135 0.0000 4.3991
2.7398 0.0000 2.6769
3.4890 0.0000 3.9393
0.0000 0.0000 0.0000
1.3266 0.0000 2.6745
3.4107 0.0000 1.4114
2.8182 0.0000 5.2048
4.9022 0.0000 3.9418
```

Principal peaks in the range 10 to 80 degrees two-theta, by angle:
- 27.66 deg, I 25.0
- 30.03 deg, I 49.5
- 30.37 deg, I 62.9
- 31.48 deg, I 44.1
- 33.52 deg, I 26.8
- 33.88 deg, I 100.0
- 34.81 deg, I 94.6
- 39.60 deg, I 27.9
- 51.59 deg, I 39.2
- 55.60 deg, I 33.8